Record 1
Starting from DFT lattice parameters and positions (PBE), the powder XRD pattern of Na8AsO3 was computed for copper Kα.

Crystal structure
```
Na8AsO3
1.0
5.9983 0.0000 0.0000
0.0000 5.9983 0.0000
0.0000 0.0000 5.9983
Na As O
8 1 3
Direct
0.2341 0.2341 0.2341
0.2341 0.2341 0.7659
0.2341 0.7659 0.2341
0.2341 0.7659 0.7659
0.7659 0.2341 0.2341
0.7659 0.2341 0.7659
0.7659 0.7659 0.2341
0.7659 0.7659 0.7659
0.5000 0.5000 0.5000
0.0000 0.0000 0.5000
0.0000 0.5000 0.0000
0.5000 0.0000 0.0000
```

Principal peaks in the range 15 to 90 degrees two-theta, in order of rising 2θ:
| Position (°2θ) | intensity |
| --- | --- |
| 20.9 | 25.4 |
| 25.7 | 46.4 |
| 33.4 | 26.2 |
| 36.7 | 11.0 |
| 42.6 | 100.0 |
| 45.4 | 9.4 |
| 50.5 | 18.6 |
| 57.5 | 8.1 |
| 61.9 | 13.8 |
| 64.0 | 9.6 |
| 68.1 | 6.5 |
| 78.0 | 23.9 |

***

Record 2
Starting from DFT lattice parameters and positions (PBE), the powder XRD pattern of SmGaTe4 was computed for copper Kα.

Crystal structure
```
SmGaTe4
1.0
6.5001 0.0000 0.0000
0.0000 9.8918 0.0000
-1.3625 0.0000 6.3910
Sm Ga Te
2 2 8
Direct
0.0975 0.2500 0.1016
0.9025 0.7500 0.8984
0.4456 0.7500 0.4455
0.5544 0.2500 0.5545
0.1597 0.2500 0.6005
0.2112 0.5569 0.2142
0.2112 0.9431 0.2142
0.4036 0.7500 0.8388
0.5964 0.2500 0.1612
0.7888 0.0569 0.7858
0.7888 0.4431 0.7858
0.8403 0.7500 0.3995
```

Principal peaks in the range 15 to 90 degrees two-theta, in order of rising 2θ:
| Position (°2θ) | intensity |
| --- | --- |
| 17.5 | 60.1 |
| 17.9 | 78.5 |
| 25.2 | 32.7 |
| 28.3 | 52.4 |
| 29.4 | 85.0 |
| 29.5 | 81.1 |
| 30.5 | 100.0 |
| 35.4 | 74.1 |
| 36.3 | 42.3 |
| 39.3 | 70.4 |
| 39.4 | 70.8 |
| 48.0 | 37.1 |

***

Record 3
Starting from DFT lattice parameters and positions (PBE), the powder XRD pattern of La4TbPa3N8 was computed for copper Kα.

Crystal structure
```
La4TbPa3N8
1.0
3.5835 2.0689 5.9956
-3.5835 2.0689 5.9956
0.0000 -4.1378 5.9956
La Tb Pa N
4 1 3 8
Direct
0.0000 0.0000 0.0000
0.0000 0.5000 0.5000
0.5000 0.0000 0.5000
0.5000 0.5000 0.0000
0.5000 0.5000 0.5000
0.0000 0.0000 0.5000
0.0000 0.5000 0.0000
0.5000 0.0000 0.0000
0.2214 0.7421 0.7421
0.2339 0.2339 0.2339
0.2579 0.2579 0.7786
0.2579 0.7786 0.2579
0.7421 0.2214 0.7421
0.7421 0.7421 0.2214
0.7661 0.7661 0.7661
0.7786 0.2579 0.2579
```

Principal peaks in the range 15 to 90 degrees two-theta, in order of rising 2θ:
| Position (°2θ) | intensity |
| --- | --- |
| 29.8 | 36.1 |
| 30.5 | 100.0 |
| 35.1 | 93.7 |
| 50.1 | 33.1 |
| 51.0 | 32.5 |
| 59.4 | 16.9 |
| 60.2 | 31.6 |
| 60.6 | 15.3 |
| 63.4 | 16.5 |
| 83.0 | 12.9 |
| 84.2 | 14.4 |
| 85.6 | 14.6 |

***

Record 4
Starting from DFT lattice parameters and positions (PBE), the powder XRD pattern of Nd2In3Hg3 was computed for copper Kα.

Crystal structure
```
Nd2In3Hg3
1.0
4.6563 0.0000 0.0000
0.0000 4.6959 0.0000
0.0000 0.0000 9.4652
Nd In Hg
2 3 3
Direct
0.0000 0.0000 0.2496
0.0000 0.0000 0.7504
0.5000 0.0000 0.0000
0.5000 0.5000 0.2496
0.5000 0.5000 0.7504
0.0000 0.5000 0.0000
0.0000 0.5000 0.5000
0.5000 0.0000 0.5000
```

Principal peaks in the range 15 to 90 degrees two-theta, in order of rising 2θ:
| Position (°2θ) | intensity |
| --- | --- |
| 18.7 | 2.2 |
| 33.0 | 100.0 |
| 38.0 | 17.1 |
| 38.3 | 16.8 |
| 38.7 | 16.3 |
| 55.1 | 11.7 |
| 55.4 | 11.5 |
| 55.6 | 11.4 |
| 65.6 | 13.8 |
| 66.0 | 13.6 |
| 66.4 | 13.3 |
| 69.3 | 11.7 |

***

Record 5
Starting from DFT lattice parameters and positions (PBE), the powder XRD pattern of TmZr2Sn was computed for copper Kα.

Crystal structure
```
TmZr2Sn
1.0
4.3687 0.0000 0.0000
0.0000 4.3694 0.0000
-2.1825 0.0000 10.5700
Tm Zr Sn
2 4 2
Direct
0.1903 0.2500 0.3798
0.8097 0.7500 0.6202
0.0556 0.7500 0.1109
0.4462 0.7500 0.8924
0.5538 0.2500 0.1076
0.9444 0.2500 0.8891
0.3373 0.2500 0.6751
0.6627 0.7500 0.3249
```

Principal peaks in the range 15 to 90 degrees two-theta, in order of rising 2θ:
| Position (°2θ) | intensity |
| --- | --- |
| 29.2 | 54.7 |
| 31.6 | 57.1 |
| 32.6 | 12.2 |
| 33.9 | 34.0 |
| 36.0 | 100.0 |
| 41.3 | 63.3 |
| 54.5 | 34.8 |
| 59.9 | 21.2 |
| 64.8 | 12.3 |
| 69.3 | 11.3 |
| 70.6 | 15.9 |
| 71.9 | 26.3 |

***

Record 6
Starting from DFT lattice parameters and positions (PBE), the powder XRD pattern of NaEr4ThS8 was computed for copper Kα.

Crystal structure
```
NaEr4ThS8
1.0
4.0053 2.3124 6.7004
-4.0053 2.3124 6.7004
0.0000 -4.6249 6.7004
Na Er Th S
1 4 1 8
Direct
0.0000 0.0000 0.0000
0.3673 0.3673 0.8826
0.3673 0.8826 0.3673
0.7430 0.7430 0.7430
0.8826 0.3673 0.3673
0.3682 0.3682 0.3682
0.1285 0.1285 0.5903
0.1285 0.5903 0.1285
0.1334 0.1334 0.1334
0.1419 0.6185 0.6185
0.5903 0.1285 0.1285
0.6119 0.6119 0.6119
0.6185 0.1419 0.6185
0.6185 0.6185 0.1419
```

Principal peaks in the range 15 to 90 degrees two-theta, in order of rising 2θ:
| Position (°2θ) | intensity |
| --- | --- |
| 15.5 | 20.3 |
| 25.6 | 48.0 |
| 25.9 | 100.0 |
| 26.1 | 28.8 |
| 27.2 | 33.5 |
| 31.3 | 69.0 |
| 41.1 | 35.3 |
| 41.3 | 30.5 |
| 44.5 | 54.7 |
| 45.3 | 53.1 |
| 62.9 | 17.3 |
| 83.1 | 17.1 |

***

Record 7
Starting from DFT lattice parameters and positions (PBE), the powder XRD pattern of Nd11Zn9Cu4 was computed for copper Kα.

Crystal structure
```
Nd11Zn9Cu4
1.0
7.1511 -10.7276 0.0000
7.1511 10.7276 0.0000
0.0000 0.0000 3.7076
Nd Zn Cu
11 9 4
Direct
0.0000 0.0000 0.0000
0.0652 0.4114 0.0000
0.1696 0.8304 0.0000
0.2904 0.2904 0.0000
0.3684 0.6316 0.0000
0.4114 0.0652 0.0000
0.5886 0.9348 0.0000
0.6316 0.3684 0.0000
0.7096 0.7096 0.0000
0.8304 0.1696 0.0000
0.9348 0.5886 0.0000
0.0698 0.2143 0.5000
0.1649 0.6301 0.5000
0.2143 0.0698 0.5000
0.3699 0.8351 0.5000
0.5000 0.5000 0.5000
0.6301 0.1649 0.5000
0.7857 0.9302 0.5000
0.8351 0.3699 0.5000
0.9302 0.7857 0.5000
0.2500 0.4482 0.5000
0.4482 0.2500 0.5000
0.5518 0.7500 0.5000
0.7500 0.5518 0.5000
```

Principal peaks in the range 15 to 90 degrees two-theta, in order of rising 2θ:
| Position (°2θ) | intensity |
| --- | --- |
| 24.9 | 15.6 |
| 31.9 | 9.1 |
| 32.5 | 9.3 |
| 33.1 | 11.5 |
| 34.9 | 100.0 |
| 35.5 | 40.0 |
| 37.2 | 13.9 |
| 49.1 | 14.2 |
| 51.1 | 8.6 |
| 62.1 | 15.3 |
| 63.3 | 9.6 |
| 82.6 | 8.4 |

***

Record 8
Starting from DFT lattice parameters and positions (PBE), the powder XRD pattern of Sm4ErTm2Sc was computed for copper Kα.

Crystal structure
```
Sm4ErTm2Sc
1.0
6.1273 0.0000 0.0000
0.0000 3.5462 0.0000
-2.0625 0.0000 11.4232
Sm Er Tm Sc
4 1 2 1
Direct
0.2461 0.0000 0.2444
0.2504 0.5000 0.7522
0.7496 0.5000 0.2478
0.7539 0.0000 0.7556
0.0000 0.0000 0.5000
0.5000 0.0000 0.0000
0.5000 0.5000 0.5000
0.0000 0.5000 0.0000
```

Principal peaks in the range 15 to 90 degrees two-theta, in order of rising 2θ:
| Position (°2θ) | intensity |
| --- | --- |
| 31.0 | 100.0 |
| 31.3 | 32.2 |
| 36.0 | 66.7 |
| 51.5 | 8.0 |
| 51.6 | 15.9 |
| 52.1 | 23.1 |
| 61.4 | 9.5 |
| 61.6 | 23.3 |
| 61.7 | 9.2 |
| 62.0 | 9.3 |
| 64.5 | 12.2 |
| 84.3 | 7.8 |

***

Record 9
Starting from DFT lattice parameters and positions (PBE), the powder XRD pattern of CePu2Sn2Au2 was computed for copper Kα.

Crystal structure
```
CePu2Sn2Au2
1.0
2.4025 1.3871 8.7557
-2.4025 1.3871 8.7557
0.0000 -2.7742 8.7557
Ce Pu Sn Au
1 2 2 2
Direct
0.0000 0.0000 0.0000
0.1415 0.1415 0.1415
0.8585 0.8585 0.8585
0.2668 0.2668 0.2668
0.7332 0.7332 0.7332
0.4316 0.4316 0.4316
0.5684 0.5684 0.5684
```

Principal peaks in the range 15 to 90 degrees two-theta, in order of rising 2θ:
| Position (°2θ) | intensity |
| --- | --- |
| 32.1 | 100.0 |
| 37.4 | 76.7 |
| 38.9 | 8.6 |
| 40.6 | 11.7 |
| 50.1 | 30.0 |
| 53.6 | 16.6 |
| 64.2 | 28.6 |
| 67.2 | 8.5 |
| 67.5 | 14.1 |
| 79.5 | 10.8 |
| 79.8 | 9.0 |
| 88.7 | 17.3 |